Structure and computed X-ray diffraction stick pattern of Li9Mn2Co5O16 (a cell relaxed with GGA+U; Cu Kα (weighted mean of Kα1 and Kα2)).
Neutral-atom scattering factors, no anomalous dispersion.

Principal peaks in the range 2θ from 10° to 90°, most intense first:
two_theta	d_spacing	Rel. int.
18.39	4.824	100
42.07	2.148	31
44.38	2.041	26
44.50	2.036	25
34.99	2.565	16
62.81	1.480	15
36.49	2.463	12
36.64	2.453	11
65.25	1.430	9
62.68	1.482	8
63.11	1.473	7
64.07	1.453	7

Structural model:
```
data_Li9Mn2Co5O16
_chemical_formula_sum 'Li9 Mn2 Co5 O16'
_symmetry_space_group_name_H-M 'P 1'
_symmetry_Int_Tables_number 1
_cell_length_a 5.0738
_cell_length_b 5.1764
_cell_length_c 11.1324
_cell_angle_alpha 86.36
_cell_angle_beta 80.43
_cell_angle_gamma 82.66
loop_
_symmetry_equiv_pos_as_xyz
'x,y,z'
loop_
_atom_site_label
_atom_site_fract_x
_atom_site_fract_y
_atom_site_fract_z
Li1 0.0000 0.0000 0.0000
Li2 0.0607 0.7511 0.4366
Li3 0.1232 0.5021 0.8774
Li4 0.2520 0.9855 0.7493
Li5 0.3587 0.5205 0.6163
Li6 0.4851 0.9882 0.4984
Li7 0.6302 0.4978 0.3780
Li8 0.7479 0.0107 0.2517
Li9 0.8743 0.4941 0.1271
Mn1 0.6824 0.2485 0.8115
Mn2 0.8116 0.7504 0.6824
Co1 0.1909 0.2490 0.3118
Co2 0.3116 0.7489 0.1896
Co3 0.4302 0.2472 0.0652
Co4 0.5598 0.7485 0.9374
Co5 0.9413 0.2582 0.5550
O1 0.0120 0.5988 0.2791
O2 0.1037 0.1382 0.1603
O3 0.1268 0.8734 0.6004
O4 0.2436 0.6271 0.0360
O5 0.2645 0.3508 0.4641
O6 0.3550 0.1341 0.9034
O7 0.3803 0.9048 0.3311
O8 0.4833 0.6419 0.7854
O9 0.5093 0.3634 0.2226
O10 0.6254 0.1032 0.6582
O11 0.6278 0.8699 0.0896
O12 0.7158 0.6257 0.5408
O13 0.7634 0.3588 0.9663
O14 0.8769 0.1511 0.4043
O15 0.8855 0.8524 0.8421
O16 0.9977 0.3949 0.7104
```